(1)
Computed powder diffraction line list of Pr12NdCo6 for Cu Kα (weighted mean of Kα1 and Kα2), from a crystal structure in Alexandria, relaxed with GGA-PBE.
Intensities are scaled so that the largest is 100.

Main lines, sorted by position (2θ from 10° to 90°):
hkl  Position (°2θ)  I (rel.)
3 0 1  27.69  50
2 2 2  30.40  50
3 1 2  32.90  100
4 0 0  35.24  18
5 0 1  45.40  29
5 3 0  52.37  36
5 2 3  55.62  38
5 3 4  64.71  19
8 2 2  79.91  17
7 0 5  81.24  18

Crystal structure
```
data_Pr12NdCo6
_chemical_formula_sum 'Pr24 Nd2 Co12'
_symmetry_space_group_name_H-M 'I m -3'
_symmetry_Int_Tables_number 204
_symmetry_space_group_name_Hall '-I 2 2 3'
_cell_length_a 10.1863
_cell_length_b 10.1863
_cell_length_c 10.1863
_cell_angle_alpha 90.00
_cell_angle_beta 90.00
_cell_angle_gamma 90.00
loop_
_atom_site_label
_atom_site_type_symbol
_atom_site_fract_x
_atom_site_fract_y
_atom_site_fract_z
Pr1 Pr 0.0000 0.3110 0.1947
Nd1 Nd 0.0000 0.0000 0.0000
Co1 Co 0.0000 0.1104 0.5000
```


(2)
Computed powder diffraction line list of NdPuCoPt for Cu Kα (weighted mean of Kα1 and Kα2), from a crystal structure in Alexandria, relaxed with GGA-PBE.
Intensities are scaled so that the largest is 100.

Main lines, sorted by position (2θ from 10° to 90°):
hkl  Position (°2θ)  I (rel.)
1 1 1  22.03  14
2 0 0  25.49  5
2 2 0  36.36  100
3 1 1  42.92  8
4 0 0  52.36  18
3 3 1  57.48  4
4 2 2  65.42  36
4 4 0  77.22  11
5 3 1  81.47  3
6 2 0  88.48  17

Crystal structure
```
data_NdPuCoPt
_chemical_formula_sum 'Nd4 Pu4 Co4 Pt4'
_symmetry_space_group_name_H-M 'F -4 3 m'
_symmetry_Int_Tables_number 216
_symmetry_space_group_name_Hall 'F -4 2 3'
_cell_length_a 6.9889
_cell_length_b 6.9889
_cell_length_c 6.9889
_cell_angle_alpha 90.00
_cell_angle_beta 90.00
_cell_angle_gamma 90.00
loop_
_atom_site_label
_atom_site_type_symbol
_atom_site_fract_x
_atom_site_fract_y
_atom_site_fract_z
Nd1 Nd 0.0000 0.0000 0.0000
Pu1 Pu 0.0000 0.0000 0.5000
Co1 Co 0.2500 0.2500 0.7500
Pt1 Pt 0.2500 0.2500 0.2500
```


(3)
Computed powder diffraction line list of Nd3PuCo8 for Cu Kα (weighted mean of Kα1 and Kα2), from a crystal structure in Alexandria, relaxed with GGA-PBE.
Intensities are scaled so that the largest is 100.

Main lines, sorted by position (2θ from 10° to 90°):
hkl  Position (°2θ)  I (rel.)
0 1 2  21.49  30
0 1 8  34.50  75
1 1 0  35.63  69
1 0 10  40.51  62
1 1 6  41.50  100
2 0 2  41.98  52
0 2 4  43.77  25
1 2 8  63.27  26
2 1 10  67.30  27
0 2 16  72.76  24

Crystal structure
```
data_Nd3PuCo8
_chemical_formula_sum 'Nd9 Pu3 Co24'
_symmetry_space_group_name_H-M 'R 3 m'
_symmetry_Int_Tables_number 160
_symmetry_space_group_name_Hall 'R 3 -2"'
_cell_length_a 5.0400
_cell_length_b 5.0400
_cell_length_c 25.8879
_cell_angle_alpha 90.00
_cell_angle_beta 90.00
_cell_angle_gamma 120.00
loop_
_atom_site_label
_atom_site_type_symbol
_atom_site_fract_x
_atom_site_fract_y
_atom_site_fract_z
Nd1 Nd 0.0000 0.0000 0.0000
Nd2 Nd 0.0000 0.0000 0.1241
Nd3 Nd 0.0000 0.0000 0.6235
Pu1 Pu 0.0000 0.0000 0.5022
Co1 Co 0.0000 0.0000 0.3128
Co2 Co 0.0000 0.0000 0.8152
Co3 Co 0.0022 0.5011 0.0630
Co4 Co 0.1681 0.3362 0.8936
```


(4)
Computed powder diffraction line list of NdPuCo4 for Cu Kα (weighted mean of Kα1 and Kα2), from a crystal structure in Alexandria, relaxed with GGA-PBE.
Intensities are scaled so that the largest is 100.

Main lines, sorted by position (2θ from 10° to 90°):
hkl  Position (°2θ)  I (rel.)
1 1 1  21.34  27
2 2 0  35.20  72
3 1 1  41.53  100
2 2 2  43.47  13
3 3 1  55.54  7
4 2 2  63.16  27
3 3 3  67.48  31
4 4 0  74.41  21
6 2 0  85.07  12
5 3 3  89.00  11

Crystal structure
```
data_NdPuCo4
_chemical_formula_sum 'Nd4 Pu4 Co16'
_symmetry_space_group_name_H-M 'F -4 3 m'
_symmetry_Int_Tables_number 216
_symmetry_space_group_name_Hall 'F -4 2 3'
_cell_length_a 7.2121
_cell_length_b 7.2121
_cell_length_c 7.2121
_cell_angle_alpha 90.00
_cell_angle_beta 90.00
_cell_angle_gamma 90.00
loop_
_atom_site_label
_atom_site_type_symbol
_atom_site_fract_x
_atom_site_fract_y
_atom_site_fract_z
Nd1 Nd 0.0000 0.0000 0.0000
Pu1 Pu 0.2500 0.2500 0.7500
Co1 Co 0.1238 0.1238 0.3762
```


(5)
Computed powder diffraction line list of NdCoRe for Cu Kα (weighted mean of Kα1 and Kα2), from a crystal structure in Alexandria, relaxed with GGA-PBE.
Intensities are scaled so that the largest is 100.

Main lines, sorted by position (2θ from 10° to 90°):
hkl  Position (°2θ)  I (rel.)
1 1 0  18.76  51
2 0 0  26.65  31
2 1 0  29.86  19
2 1 1  33.43  81
1 1 2  35.30  100
3 0 1  43.26  39
2 2 2  48.94  33
3 2 1  51.53  24
2 1 3  55.04  19
4 1 1  58.95  31

Crystal structure
```
data_NdCoRe
_chemical_formula_sum 'Nd4 Co4 Re4'
_symmetry_space_group_name_H-M 'P 41 21 2'
_symmetry_Int_Tables_number 92
_symmetry_space_group_name_Hall 'P 4abw 2nw'
_cell_length_a 6.6901
_cell_length_b 6.6901
_cell_length_c 6.0303
_cell_angle_alpha 90.00
_cell_angle_beta 90.00
_cell_angle_gamma 90.00
loop_
_atom_site_label
_atom_site_type_symbol
_atom_site_fract_x
_atom_site_fract_y
_atom_site_fract_z
Nd1 Nd 0.2436 0.2436 0.0000
Co1 Co 0.1330 0.8670 0.7500
Re1 Re 0.1230 0.1230 0.5000
```


(6)
Computed powder diffraction line list of Nd12CoRh6 for Cu Kα (weighted mean of Kα1 and Kα2), from a crystal structure in Alexandria, relaxed with GGA-PBE.
Intensities are scaled so that the largest is 100.

Main lines, sorted by position (2θ from 10° to 90°):
hkl  Position (°2θ)  I (rel.)
2 1 1  22.71  51
3 -2 2  26.22  68
2 2 0  28.16  25
1 0 4  31.26  46
3 1 2  33.08  56
2 1 4  37.28  89
1 4 0  37.55  100
7 -4 2  53.05  19
6 -4 4  53.95  24
4 -2 6  54.75  20

Crystal structure
```
data_Nd12CoRh6
_chemical_formula_sum 'Nd36 Co3 Rh18'
_symmetry_space_group_name_H-M 'R -3'
_symmetry_Int_Tables_number 148
_symmetry_space_group_name_Hall '-R 3'
_cell_length_a 12.6742
_cell_length_b 12.6742
_cell_length_c 11.8558
_cell_angle_alpha 90.00
_cell_angle_beta 90.00
_cell_angle_gamma 120.00
loop_
_atom_site_label
_atom_site_type_symbol
_atom_site_fract_x
_atom_site_fract_y
_atom_site_fract_z
Nd1 Nd 0.0247 0.2148 0.3920
Nd2 Nd 0.0399 0.1997 0.8816
Co1 Co 0.0000 0.0000 0.0000
Rh1 Rh 0.0448 0.2651 0.6470
```


(7)
Computed powder diffraction line list of Nd8CoRh2 for Cu Kα (weighted mean of Kα1 and Kα2), from a crystal structure in Alexandria, relaxed with GGA-PBE.
Intensities are scaled so that the largest is 100.

Main lines, sorted by position (2θ from 10° to 90°):
hkl  Position (°2θ)  I (rel.)
1 1 -2  28.52  46
1 3 1  30.50  100
2 0 1  31.04  36
3 1 -1  32.12  55
0 2 2  33.07  32
2 2 -2  33.25  23
2 4 -1  36.24  25
2 4 0  36.58  27
3 3 -1  38.21  29
1 5 -1  39.16  36

Crystal structure
```
data_Nd8CoRh2
_chemical_formula_sum 'Nd16 Co2 Rh4'
_symmetry_space_group_name_H-M 'C 1 m 1'
_symmetry_Int_Tables_number 8
_symmetry_space_group_name_Hall 'C -2y'
_cell_length_a 8.6077
_cell_length_b 12.4605
_cell_length_c 6.4674
_cell_angle_alpha 90.00
_cell_angle_beta 111.51
_cell_angle_gamma 90.00
loop_
_atom_site_label
_atom_site_type_symbol
_atom_site_fract_x
_atom_site_fract_y
_atom_site_fract_z
Nd1 Nd 0.0000 0.0000 0.0000
Nd2 Nd 0.0720 0.3661 0.8394
Nd3 Nd 0.1372 0.1348 0.5845
Nd4 Nd 0.2139 0.5000 0.3987
Nd5 Nd 0.3583 0.1839 0.2024
Co1 Co 0.3566 0.0000 0.9854
Rh1 Rh 0.3518 0.3155 0.7018
```


(8)
Computed powder diffraction line list of Nd8Co2Rh for Cu Kα (weighted mean of Kα1 and Kα2), from a crystal structure in Alexandria, relaxed with GGA-PBE.
Intensities are scaled so that the largest is 100.

Main lines, sorted by position (2θ from 10° to 90°):
hkl  Position (°2θ)  I (rel.)
2 0 -2  27.09  16
3 1 1  28.15  61
5 1 0  31.02  16
1 1 -2  31.77  46
5 1 -1  31.98  100
1 1 2  33.34  32
0 2 0  34.72  64
6 0 1  36.02  18
6 2 -3  59.89  16
5 3 -1  60.53  20

Crystal structure
```
data_Nd8Co2Rh
_chemical_formula_sum 'Nd16 Co4 Rh2'
_symmetry_space_group_name_H-M 'C 1 2/m 1'
_symmetry_Int_Tables_number 12
_symmetry_space_group_name_Hall '-C 2y'
_cell_length_a 17.6512
_cell_length_b 5.1672
_cell_length_c 6.7199
_cell_angle_alpha 90.00
_cell_angle_beta 100.28
_cell_angle_gamma 90.00
loop_
_atom_site_label
_atom_site_type_symbol
_atom_site_fract_x
_atom_site_fract_y
_atom_site_fract_z
Nd1 Nd 0.0455 0.0000 0.2841
Nd2 Nd 0.0872 0.5000 0.9276
Nd3 Nd 0.1720 0.5000 0.4649
Nd4 Nd 0.1991 0.0000 0.8434
Co1 Co 0.2080 0.0000 0.2378
Rh1 Rh 0.0000 0.5000 0.5000
```


(9)
Computed powder diffraction line list of Nd8CoRu2 for Cu Kα (weighted mean of Kα1 and Kα2), from a crystal structure in Alexandria, relaxed with GGA-PBE.
Intensities are scaled so that the largest is 100.

Main lines, sorted by position (2θ from 10° to 90°):
hkl  Position (°2θ)  I (rel.)
1 1 -2  28.91  49
1 3 1  30.42  100
0 4 1  31.71  38
2 0 1  31.88  37
3 1 -1  32.91  49
0 2 2  33.37  36
2 2 -2  33.58  25
2 4 0  36.27  23
1 5 -1  38.24  48
3 3 -1  38.57  25

Crystal structure
```
data_Nd8CoRu2
_chemical_formula_sum 'Nd16 Co2 Ru4'
_symmetry_space_group_name_H-M 'C 1 m 1'
_symmetry_Int_Tables_number 8
_symmetry_space_group_name_Hall 'C -2y'
_cell_length_a 8.3758
_cell_length_b 12.8449
_cell_length_c 6.3632
_cell_angle_alpha 90.00
_cell_angle_beta 111.73
_cell_angle_gamma 90.00
loop_
_atom_site_label
_atom_site_type_symbol
_atom_site_fract_x
_atom_site_fract_y
_atom_site_fract_z
Nd1 Nd 0.0000 0.0000 0.0000
Nd2 Nd 0.0713 0.3670 0.8014
Nd3 Nd 0.1378 0.1309 0.5743
Nd4 Nd 0.2026 0.5000 0.3891
Nd5 Nd 0.3481 0.1993 0.2007
Co1 Co 0.3546 0.0000 0.3841
Ru1 Ru 0.3566 0.3106 0.6866
```


(10)
Computed powder diffraction line list of NdScCo2 for Cu Kα (weighted mean of Kα1 and Kα2), from a crystal structure in Alexandria, relaxed with GGA-PBE.
Intensities are scaled so that the largest is 100.

Main lines, sorted by position (2θ from 10° to 90°):
hkl  Position (°2θ)  I (rel.)
1 0 0  19.02  19
1 1 0  27.00  5
1 0 1  33.20  10
2 0 0  38.56  100
2 1 1  51.80  6
0 0 2  55.56  6
2 2 0  55.72  11
2 0 2  69.69  11
3 1 1  69.79  21
2 2 2  82.60  7

Crystal structure
```
data_NdScCo2
_chemical_formula_sum 'Nd1 Sc1 Co2'
_symmetry_space_group_name_H-M 'P 4/m m m'
_symmetry_Int_Tables_number 123
_symmetry_space_group_name_Hall '-P 4 2'
_cell_length_a 4.6659
_cell_length_b 4.6659
_cell_length_c 3.3081
_cell_angle_alpha 90.00
_cell_angle_beta 90.00
_cell_angle_gamma 90.00
loop_
_atom_site_label
_atom_site_type_symbol
_atom_site_fract_x
_atom_site_fract_y
_atom_site_fract_z
Nd1 Nd 0.0000 0.0000 0.0000
Sc1 Sc 0.5000 0.5000 0.0000
Co1 Co 0.0000 0.5000 0.5000
```


(11)
Computed powder diffraction line list of NdSc2Co9 for Cu Kα (weighted mean of Kα1 and Kα2), from a crystal structure in Alexandria, relaxed with GGA-PBE.
Intensities are scaled so that the largest is 100.

Main lines, sorted by position (2θ from 10° to 90°):
hkl  Position (°2θ)  I (rel.)
0 0 3  11.16  22
1 1 0  36.43  28
0 1 8  36.83  24
0 2 1  42.50  32
2 0 2  43.03  19
1 1 6  43.20  100
0 0 12  45.78  25
2 0 5  46.62  16
0 3 6  70.24  22
2 2 0  77.39  19

Crystal structure
```
data_NdSc2Co9
_chemical_formula_sum 'Nd3 Sc6 Co27'
_symmetry_space_group_name_H-M 'R -3 m'
_symmetry_Int_Tables_number 166
_symmetry_space_group_name_Hall '-R 3 2"'
_cell_length_a 4.9323
_cell_length_b 4.9323
_cell_length_c 23.7853
_cell_angle_alpha 90.00
_cell_angle_beta 90.00
_cell_angle_gamma 120.00
loop_
_atom_site_label
_atom_site_type_symbol
_atom_site_fract_x
_atom_site_fract_y
_atom_site_fract_z
Nd1 Nd 0.0000 0.0000 0.0000
Sc1 Sc 0.0000 0.0000 0.1418
Co1 Co 0.0000 0.0000 0.3356
Co2 Co 0.0000 0.0000 0.5000
Co3 Co 0.0067 0.5033 0.9150
```


(12)
Computed powder diffraction line list of NdCoSi3 for Cu Kα (weighted mean of Kα1 and Kα2), from a crystal structure in Alexandria, relaxed with GGA-PBE.
Intensities are scaled so that the largest is 100.

Main lines, sorted by position (2θ from 10° to 90°):
hkl  Position (°2θ)  I (rel.)
0 0 2  18.45  20
1 0 1  23.44  58
1 1 0  30.60  57
1 0 3  35.44  100
1 1 2  35.97  90
2 0 0  43.83  56
1 0 5  52.47  23
2 1 3  57.58  50
1 1 6  66.54  20
3 1 2  75.40  21

Crystal structure
```
data_NdCoSi3
_chemical_formula_sum 'Nd2 Co2 Si6'
_symmetry_space_group_name_H-M 'I 4 m m'
_symmetry_Int_Tables_number 107
_symmetry_space_group_name_Hall 'I 4 -2'
_cell_length_a 4.1311
_cell_length_b 4.1311
_cell_length_c 9.6184
_cell_angle_alpha 90.00
_cell_angle_beta 90.00
_cell_angle_gamma 90.00
loop_
_atom_site_label
_atom_site_type_symbol
_atom_site_fract_x
_atom_site_fract_y
_atom_site_fract_z
Nd1 Nd 0.0000 0.0000 0.0000
Co1 Co 0.0000 0.0000 0.6567
Si1 Si 0.0000 0.0000 0.4218
Si2 Si 0.0000 0.5000 0.2559
```


(13)
Computed powder diffraction line list of Nd5CoSi2 for Cu Kα (weighted mean of Kα1 and Kα2), from a crystal structure in Alexandria, relaxed with GGA-PBE.
Intensities are scaled so that the largest is 100.

Main lines, sorted by position (2θ from 10° to 90°):
hkl  Position (°2θ)  I (rel.)
1 3 1  26.15  35
0 0 4  26.31  44
3 1 1  26.39  30
1 3 3  32.26  95
3 1 3  32.47  100
2 2 4  35.05  86
2 4 0  36.12  30
4 2 0  36.39  52
3 5 3  52.11  27
0 0 8  54.27  26

Crystal structure
```
data_Nd5CoSi2
_chemical_formula_sum 'Nd40 Co8 Si16'
_symmetry_space_group_name_H-M 'F m m m'
_symmetry_Int_Tables_number 69
_symmetry_space_group_name_Hall '-F 2 2'
_cell_length_a 11.0141
_cell_length_b 11.1481
_cell_length_c 13.5264
_cell_angle_alpha 90.00
_cell_angle_beta 90.00
_cell_angle_gamma 90.00
loop_
_atom_site_label
_atom_site_type_symbol
_atom_site_fract_x
_atom_site_fract_y
_atom_site_fract_z
Nd1 Nd 0.0000 0.1809 0.1428
Nd2 Nd 0.1637 0.0000 0.3585
Nd3 Nd 0.2500 0.2500 0.0000
Co1 Co 0.0000 0.1191 0.5000
Si1 Si 0.1158 0.0000 0.0000
Si2 Si 0.2500 0.2500 0.2500
```